For Cs4NdNp3O12, a crystal structure in Alexandria, relaxed with GGA-PBE gives the computed powder diffraction line list in this record (Cu Kα).
Neutral-atom scattering factors, no anomalous dispersion.

Largest 12 diffraction maxima, by angle, 10 to 90 degrees two-theta:
2theta, intensity, (hkl)
14.13, 3, 1 1 0
20.03, 10, 2 0 0
28.48, 100, 2 2 0
40.72, 28, 4 0 0
45.78, 5, 4 2 0
50.44, 42, 4 2 2
58.94, 18, 4 4 0
62.91, 2, 6 0 0
66.74, 19, 6 2 0
74.11, 6, 4 4 4
81.21, 22, 6 4 2
88.18, 3, 8 0 0

Cell and atoms:
```
data_Cs4NdNp3O12
_chemical_formula_sum 'Cs8 Nd2 Np6 O24'
_cell_length_a 8.8640
_cell_length_b 8.8640
_cell_length_c 8.8640
_cell_angle_alpha 90.00
_cell_angle_beta 90.00
_cell_angle_gamma 90.00
_symmetry_space_group_name_H-M 'I m -3 m'
_symmetry_Int_Tables_number 229
_symmetry_space_group_name_Hall '-I 4 2 3'
loop_
_atom_site_label
_atom_site_fract_x
_atom_site_fract_y
_atom_site_fract_z
Cs1 0.2500 0.2500 0.2500
Nd1 0.0000 0.0000 0.0000
Np1 0.0000 0.0000 0.5000
O1 0.0000 0.0000 0.2733
O2 0.0000 0.2500 0.5000
```